The following is a simulated powder X-ray diffraction pattern of Li3CdF6. It was derived from a cell relaxed with PBE, using Cu Ka.
No peak broadening, texture or thermal motion is included.

Cell and atoms:
a b c (Å): 8.8922 8.8922 10.5092
angles (deg): 90.00 90.00 120.00
Space group R-3 (No. 148, hexagonal axes)
Asymmetric unit:
Li1 0.0366 0.7722 0.2122 x18
Cd1 0.0000 0.0000 0.0000 x3
Cd2 0.0000 0.0000 0.5000 x3
F1 0.0138 0.7935 0.3961 x18
F2 0.0176 0.8293 0.8622 x18

Top 10 peaks for 2θ from 5° to 70°, in order of rising 2θ:
2θ 20.0, I = 97, hkl 1 1 0
2θ 20.5, I = 100, hkl 0 1 2
2θ 28.7, I = 59, hkl 2 0 2
2θ 35.0, I = 18, hkl 3 0 0
2θ 35.2, I = 69, hkl 3 -2 2
2θ 41.6, I = 20, hkl 0 2 4
2θ 45.9, I = 36, hkl 4 -1 2
2θ 46.6, I = 46, hkl 3 -1 4
2θ 54.6, I = 32, hkl 4 1 0
2θ 55.4, I = 18, hkl 1 3 4

***

The following is a simulated powder X-ray diffraction pattern of Li2MgCdF6. It was derived from a cell relaxed with PBE, using Cu Ka.
No peak broadening, texture or thermal motion is included.

Cell and atoms:
a b c (Å): 5.2842 5.2842 14.3710
angles (deg): 90.00 90.00 120.00
Space group R3 (No. 146, hexagonal axes)
Asymmetric unit:
Li1 0.0000 0.0000 0.0000 x3
Li2 0.0000 0.0000 0.4920 x3
Mg1 0.0000 0.0000 0.7016 x3
Cd1 0.0000 0.0000 0.2098 x3
F1 0.0109 0.6713 0.7678 x9
F2 0.0261 0.3915 0.2757 x9

Top 10 peaks for 2θ from 5° to 70°, in order of rising 2θ:
2θ 18.5, I = 20, hkl 0 0 3
2θ 20.4, I = 47, hkl 1 0 1
2θ 23.0, I = 100, hkl 0 1 2
2θ 31.7, I = 50, hkl 1 0 4
2θ 38.9, I = 52, hkl 2 -1 3
2θ 41.4, I = 23, hkl 2 0 2
2θ 47.1, I = 20, hkl 0 2 4
2θ 51.5, I = 41, hkl 1 1 6
2θ 59.3, I = 19, hkl 2 1 4
2θ 60.7, I = 21, hkl 3 0 0

***

The following is a simulated powder X-ray diffraction pattern of Li2CdPdF6. It was derived from a cell relaxed with PBE, using Cu Ka.
No peak broadening, texture or thermal motion is included.

Cell and atoms:
a b c (Å): 11.2100 9.5856 6.1111
angles (deg): 90.00 116.34 90.00
Space group C2/c (No. 15)
Asymmetric unit:
Li1 0.1940 0.0663 0.1483 x8
Cd1 0.0000 0.3968 0.2500 x4
Pd1 0.0000 0.2308 0.7500 x4
F1 0.1080 0.2383 0.1487 x8
F2 0.1119 0.4196 0.6797 x8
F3 0.1460 0.0699 0.8086 x8

Top 10 peaks for 2θ from 5° to 70°, in order of rising 2θ:
2θ 12.8, I = 50, hkl 1 1 0
2θ 17.7, I = 100, hkl 2 0 0
2θ 24.7, I = 28, hkl 0 2 1
2θ 25.9, I = 42, hkl 2 2 -1
2θ 29.4, I = 17, hkl 2 0 -2
2θ 31.6, I = 21, hkl 1 3 -1
2θ 32.7, I = 39, hkl 0 0 2
2θ 37.3, I = 56, hkl 3 3 -1
2θ 47.1, I = 17, hkl 3 3 1
2θ 49.8, I = 25, hkl 5 3 -1

***

What did the third record say?
The following is a simulated powder X-ray diffraction pattern of Li2CdPdF6. It was derived from a cell relaxed with PBE, using Cu Ka.
No peak broadening, texture or thermal motion is included.

Cell and atoms:
a b c (Å): 11.2100 9.5856 6.1111
angles (deg): 90.00 116.34 90.00
Space group C2/c (No. 15)
Asymmetric unit:
Li1 0.1940 0.0663 0.1483 x8
Cd1 0.0000 0.3968 0.2500 x4
Pd1 0.0000 0.2308 0.7500 x4
F1 0.1080 0.2383 0.1487 x8
F2 0.1119 0.4196 0.6797 x8
F3 0.1460 0.0699 0.8086 x8

Top 10 peaks for 2θ from 5° to 70°, in order of rising 2θ:
2θ 12.8, I = 50, hkl 1 1 0
2θ 17.7, I = 100, hkl 2 0 0
2θ 24.7, I = 28, hkl 0 2 1
2θ 25.9, I = 42, hkl 2 2 -1
2θ 29.4, I = 17, hkl 2 0 -2
2θ 31.6, I = 21, hkl 1 3 -1
2θ 32.7, I = 39, hkl 0 0 2
2θ 37.3, I = 56, hkl 3 3 -1
2θ 47.1, I = 17, hkl 3 3 1
2θ 49.8, I = 25, hkl 5 3 -1